1.
Diffraction record for Pr5Y6Th2. The PXRD pattern is simulated, not measured: it uses the PBE geometry in Alexandria and λ = 1.5418 Å (Cu Kα).
Peak positions follow from Bragg's law for the DFT cell and can differ from measured ones.

Structural model:
```
data_Pr5Y6Th2
_chemical_formula_sum 'Pr10 Y12 Th4'
_cell_length_a 11.682
_cell_length_b 21.166
_cell_length_c 3.624
_cell_angle_alpha 90.00
_cell_angle_beta 90.00
_cell_angle_gamma 90.00
_space_group_name_H-M_alt 'P b a m'
_space_group_IT_number 55
loop_
_space_group_symop_operation_xyz
'x,y,z'
'-x,-y,-z'
'-x,-y,z'
'x,y,-z'
'x+1/2,-y+1/2,-z'
'-x+1/2,y+1/2,z'
'-x+1/2,y+1/2,-z'
'x+1/2,-y+1/2,z'
loop_
_atom_site_label
_atom_site_type_symbol
_atom_site_fract_x
_atom_site_fract_y
_atom_site_fract_z
_atom_site_occupancy
Pr1 Pr 0.000 0.000 0.000 1
Pr2 Pr 0.064 0.293 0.000 1
Pr3 Pr 0.193 0.577 0.000 1
Y1 Y 0.064 0.147 0.500 1
Y2 Y 0.080 0.437 0.500 1
Y3 Y 0.186 0.876 0.000 1
Th1 Th 0.189 0.735 0.500 1
```

Main lines, in order of rising 2θ (2θ = 10–90°):
- 2θ 26.0, d = 3.428 Å, I = 18, hkl 0 2 1
- 2θ 28.7, d = 3.108 Å, I = 22, hkl 1 3 1
- 2θ 29.6, d = 3.020 Å, I = 22, hkl 2 6 0
- 2θ 30.2, d = 2.957 Å, I = 24, hkl 2 2 1
- 2θ 30.5, d = 2.927 Å, I = 43, hkl 1 7 0
- 2θ 30.9, d = 2.894 Å, I = 100, hkl 4 1 0
- 2θ 31.7, d = 2.822 Å, I = 71, hkl 2 3 1
- 2θ 33.7, d = 2.662 Å, I = 52, hkl 2 4 1
- 2θ 36.2, d = 2.483 Å, I = 18, hkl 3 3 1
- 2θ 50.4, d = 1.812 Å, I = 17, hkl 0 0 2
- 2θ 50.5, d = 1.806 Å, I = 18, hkl 1 10 1
- 2θ 60.3, d = 1.536 Å, I = 19, hkl 4 1 2

2.
Diffraction record for PrBe2HN2. The PXRD pattern is simulated, not measured: it uses the PBE geometry in Alexandria and λ = 1.5418 Å (Cu Kα).
Peak positions follow from Bragg's law for the DFT cell and can differ from measured ones.

Structural model:
```
data_PrBe2HN2
_chemical_formula_sum 'Pr4 Be8 H4 N8'
_cell_length_a 6.790
_cell_length_b 9.227
_cell_length_c 4.089
_cell_angle_alpha 90.00
_cell_angle_beta 90.00
_cell_angle_gamma 90.00
_space_group_name_H-M_alt 'C m c m'
_space_group_IT_number 63
_space_group_name_Hall '-C 2c 2'
loop_
_atom_site_label
_atom_site_type_symbol
_atom_site_fract_x
_atom_site_fract_y
_atom_site_fract_z
_atom_site_occupancy
Pr1 Pr 0.000 0.195 0.250 1
Be1 Be 0.179 0.500 0.000 1
H1 H 0.000 0.422 0.750 1
N1 N 0.233 0.115 0.750 1
```

Main lines, in order of rising 2θ (2θ = 10–90°):
- 2θ 16.2, d = 5.469 Å, I = 18, hkl 1 1 0
- 2θ 19.2, d = 4.613 Å, I = 27, hkl 0 2 0
- 2θ 26.2, d = 3.395 Å, I = 18, hkl 2 0 0
- 2θ 27.2, d = 3.275 Å, I = 100, hkl 1 1 1
- 2θ 31.9, d = 2.802 Å, I = 33, hkl 1 3 0
- 2θ 32.8, d = 2.734 Å, I = 26, hkl 2 2 0
- 2θ 39.0, d = 2.311 Å, I = 13, hkl 1 3 1
- 2θ 39.7, d = 2.273 Å, I = 29, hkl 2 2 1
- 2θ 45.1, d = 2.009 Å, I = 16, hkl 0 4 1
- 2θ 46.9, d = 1.936 Å, I = 25, hkl 3 1 1
- 2θ 53.0, d = 1.729 Å, I = 16, hkl 2 4 1
- 2θ 55.7, d = 1.651 Å, I = 11, hkl 1 3 2

3.
Diffraction record for Tl2CuC2O6. The PXRD pattern is simulated, not measured: it uses the PBE geometry in Alexandria and λ = 1.5418 Å (Cu Kα).
Peak positions follow from Bragg's law for the DFT cell and can differ from measured ones.

Structural model:
```
data_Tl2CuC2O6
_chemical_formula_sum 'Tl4 Cu2 C4 O12'
_cell_length_a 11.699
_cell_length_b 4.975
_cell_length_c 6.865
_cell_angle_alpha 90.00
_cell_angle_beta 118.15
_cell_angle_gamma 90.00
_space_group_name_H-M_alt 'C 1 2/m 1'
_space_group_IT_number 12
loop_
_space_group_symop_operation_xyz
'x,y,z'
'-x,-y,-z'
'-x,y,-z'
'x,-y,z'
'x+1/2,y+1/2,z'
'-x+1/2,-y+1/2,-z'
'-x+1/2,y+1/2,-z'
'x+1/2,-y+1/2,z'
loop_
_atom_site_label
_atom_site_type_symbol
_atom_site_fract_x
_atom_site_fract_y
_atom_site_fract_z
_atom_site_occupancy
Tl1 Tl 0.191 0.000 0.201 1
Cu1 Cu 0.000 0.000 0.500 1
C1 C 0.005 0.500 0.298 1
O1 O 0.062 0.277 0.732 1
O2 O 0.124 0.500 0.348 1
```

Main lines, in order of rising 2θ (2θ = 10–90°):
- 2θ 22.1, d = 4.016 Å, I = 100, hkl 1 1 -1
- 2θ 26.2, d = 3.404 Å, I = 41, hkl 2 0 -2
- 2θ 27.1, d = 3.293 Å, I = 64, hkl 1 1 1
- 2θ 27.5, d = 3.242 Å, I = 44, hkl 2 0 1
- 2θ 29.2, d = 3.058 Å, I = 60, hkl 3 1 -1
- 2θ 29.5, d = 3.026 Å, I = 28, hkl 0 0 2
- 2θ 30.6, d = 2.921 Å, I = 49, hkl 4 0 -1
- 2θ 31.6, d = 2.828 Å, I = 31, hkl 3 1 0
- 2θ 45.1, d = 2.008 Å, I = 28, hkl 2 2 -2
- 2θ 45.4, d = 1.999 Å, I = 29, hkl 1 1 -3
- 2θ 46.0, d = 1.973 Å, I = 31, hkl 2 2 1
- 2θ 47.7, d = 1.906 Å, I = 29, hkl 5 1 0

4.
Diffraction record for Er6Pd8Pt. The PXRD pattern is simulated, not measured: it uses the PBE geometry in Alexandria and λ = 1.5418 Å (Cu Kα).
Peak positions follow from Bragg's law for the DFT cell and can differ from measured ones.

Structural model:
```
data_Er6Pd8Pt
_chemical_formula_sum 'Er18 Pd24 Pt3'
_cell_length_a 8.0849
_cell_length_b 8.0849
_cell_length_c 17.1874
_cell_angle_alpha 90.00
_cell_angle_beta 90.00
_cell_angle_gamma 120.00
_space_group_name_H-M_alt 'R -3'
_space_group_IT_number 148
_space_group_name_Hall '-R 3'
loop_
_atom_site_label
_atom_site_type_symbol
_atom_site_fract_x
_atom_site_fract_y
_atom_site_fract_z
_atom_site_occupancy
Er1 Er 0.0146 0.7284 0.1005 1
Pd1 Pd 0.0000 0.0000 0.2068 1
Pd2 Pd 0.0028 0.3788 0.0598 1
Pt1 Pt 0.0000 0.0000 0.5000 1
```

Main lines, in order of rising 2θ (2θ = 10–90°):
- 2θ 15.5, d = 5.729 Å, I = 9, hkl 0 0 3
- 2θ 22.0, d = 4.042 Å, I = 9, hkl 1 1 0
- 2θ 27.0, d = 3.303 Å, I = 18, hkl 2 -1 3
- 2θ 31.2, d = 2.865 Å, I = 12, hkl 0 0 6
- 2θ 33.0, d = 2.714 Å, I = 12, hkl 0 2 4
- 2θ 34.3, d = 2.616 Å, I = 15, hkl 3 -1 1
- 2θ 35.5, d = 2.529 Å, I = 18, hkl 3 -2 2
- 2θ 38.5, d = 2.336 Å, I = 100, hkl 2 -1 6
- 2θ 40.0, d = 2.253 Å, I = 14, hkl 2 1 4
- 2θ 50.4, d = 1.809 Å, I = 8, hkl 0 3 6
- 2θ 55.7, d = 1.651 Å, I = 10, hkl 2 2 6
- 2θ 69.6, d = 1.350 Å, I = 11, hkl 2 -1 12

5.
Diffraction record for Nd2Ho5Tm6. The PXRD pattern is simulated, not measured: it uses the PBE geometry in Alexandria and λ = 1.5418 Å (Cu Kα).
Peak positions follow from Bragg's law for the DFT cell and can differ from measured ones.

Structural model:
```
data_Nd2Ho5Tm6
_chemical_formula_sum 'Nd4 Ho10 Tm12'
_cell_length_a 11.601
_cell_length_b 20.051
_cell_length_c 3.549
_cell_angle_alpha 90.00
_cell_angle_beta 90.00
_cell_angle_gamma 90.00
_space_group_name_H-M_alt 'P b a m'
_space_group_IT_number 55
loop_
_space_group_symop_operation_xyz
'x,y,z'
'-x,-y,-z'
'-x,-y,z'
'x,y,-z'
'x+1/2,-y+1/2,-z'
'-x+1/2,y+1/2,z'
'-x+1/2,y+1/2,-z'
'x+1/2,-y+1/2,z'
loop_
_atom_site_label
_atom_site_type_symbol
_atom_site_fract_x
_atom_site_fract_y
_atom_site_fract_z
_atom_site_occupancy
Nd1 Nd 0.167 0.216 0.000 1
Ho1 Ho 0.000 0.500 0.500 1
Ho2 Ho 0.093 0.778 0.500 1
Ho3 Ho 0.200 0.051 0.500 1
Tm1 Tm 0.059 0.922 0.000 1
Tm2 Tm 0.079 0.634 0.000 1
Tm3 Tm 0.179 0.373 0.500 1
```

Main lines, in order of rising 2θ (2θ = 10–90°):
- 2θ 27.8, d = 3.213 Å, I = 26, hkl 1 6 0
- 2θ 30.9, d = 2.898 Å, I = 23, hkl 0 4 1
- 2θ 31.2, d = 2.870 Å, I = 56, hkl 4 1 0
- 2θ 31.8, d = 2.811 Å, I = 43, hkl 1 4 1
- 2θ 32.2, d = 2.782 Å, I = 98, hkl 1 7 0
- 2θ 32.5, d = 2.758 Å, I = 100, hkl 2 3 1
- 2θ 34.6, d = 2.592 Å, I = 39, hkl 2 4 1
- 2θ 35.5, d = 2.529 Å, I = 26, hkl 3 6 0
- 2θ 36.9, d = 2.435 Å, I = 28, hkl 3 3 1
- 2θ 51.5, d = 1.775 Å, I = 22, hkl 0 0 2
- 2θ 57.3, d = 1.608 Å, I = 22, hkl 6 4 1
- 2θ 62.0, d = 1.496 Å, I = 32, hkl 1 7 2

6.
Diffraction record for Pm4AgF12. The PXRD pattern is simulated, not measured: it uses the PBE geometry in Alexandria and λ = 1.5418 Å (Cu Kα).
Peak positions follow from Bragg's law for the DFT cell and can differ from measured ones.

Structural model:
```
data_Pm4AgF12
_chemical_formula_sum 'Pm8 Ag2 F24'
_cell_length_a 9.119
_cell_length_b 9.121
_cell_length_c 9.124
_cell_angle_alpha 90.00
_cell_angle_beta 90.00
_cell_angle_gamma 90.00
_space_group_name_H-M_alt 'I m m m'
_space_group_IT_number 71
_space_group_name_Hall '-I 2 2'
loop_
_atom_site_label
_atom_site_type_symbol
_atom_site_fract_x
_atom_site_fract_y
_atom_site_fract_z
_atom_site_occupancy
Pm1 Pm 0.250 0.250 0.250 1
Ag1 Ag 0.000 0.000 0.000 1
F1 F 0.000 0.252 0.254 1
F2 F 0.246 0.500 0.248 1
F3 F 0.248 0.247 0.500 1
```

Main lines, in order of rising 2θ (2θ = 10–90°):
- 2θ 13.7, d = 6.450 Å, I = 16, hkl 0 1 1
- 2θ 19.5, d = 4.561 Å, I = 97, hkl 2 0 0
- 2θ 23.9, d = 3.724 Å, I = 10, hkl 1 2 1
- 2θ 27.7, d = 3.225 Å, I = 100, hkl 2 2 0
- 2θ 39.5, d = 2.280 Å, I = 44, hkl 4 0 0
- 2θ 44.4, d = 2.040 Å, I = 44, hkl 4 2 0
- 2θ 48.9, d = 1.862 Å, I = 43, hkl 4 2 2
- 2θ 57.1, d = 1.612 Å, I = 28, hkl 4 4 0
- 2θ 60.9, d = 1.520 Å, I = 21, hkl 4 4 2
- 2θ 64.6, d = 1.442 Å, I = 19, hkl 6 2 0
- 2θ 78.5, d = 1.219 Å, I = 22, hkl 6 2 4
- 2θ 88.4, d = 1.106 Å, I = 12, hkl 8 2 0